Starting from a DFT-relaxed cell (PBE+U, the Materials Project), the XRD peak list of MgV4O5F7 was calculated for Cu Ka.
Lines closer than 0.1° are merged.

Peak list (8 most intense, 2θ from 10° to 80°, sorted by position)
hkl 0 1 -1, 23.05 deg, I 100
hkl 1 0 -1, 23.75 deg, I 93
hkl 1 1 2, 24.36 deg, I 96
hkl 1 -1 0, 32.23 deg, I 22
hkl 1 2 1, 32.83 deg, I 22
hkl 0 1 3, 33.34 deg, I 25
hkl 0 2 -2, 47.11 deg, I 28
hkl 2 2 4, 49.92 deg, I 21

Atomic structure:
Unit cell a=5.1003 b=5.4837 c=8.9857 alpha=72.97 beta=74.70 gamma=63.43
Space group P1 (No. 1)
Inequivalent atoms, fractional coordinates:
Mg1 0.0000 0.0000 0.0000 [1 per cell]
V1 0.2477 0.9887 0.5986 [1 per cell]
V2 0.4492 0.2650 0.8393 [1 per cell]
V3 0.6466 0.5177 0.1128 [1 per cell]
V4 0.9730 0.7546 0.3622 [1 per cell]
O1 0.1117 0.9122 0.4378 [1 per cell]
O2 0.2365 0.7078 0.1631 [1 per cell]
O3 0.2646 0.0772 0.7939 [1 per cell]
O4 0.6084 0.8324 0.5301 [1 per cell]
O5 0.6206 0.3802 0.9375 [1 per cell]
F1 0.1048 0.3087 0.0308 [1 per cell]
F2 0.1869 0.3708 0.4755 [1 per cell]
F3 0.2089 0.6389 0.7368 [1 per cell]
F4 0.7079 0.8696 0.9715 [1 per cell]
F5 0.7240 0.1059 0.2214 [1 per cell]
F6 0.7623 0.5809 0.2859 [1 per cell]
F7 0.7780 0.1804 0.6701 [1 per cell]

Starting from a DFT-relaxed cell (PBE+U, the Materials Project), the XRD peak list of Ba3Na2Cr4F20 was calculated for Cu Ka.
Lines closer than 0.1° are merged.

Peak list (8 most intense, 2θ from 10° to 80°, sorted by position)
hkl 0 5 1, 24.34 deg, I 69
hkl 1 4 0, 26.16 deg, I 100
hkl 1 4 -2, 26.37 deg, I 91
hkl 1 5 -1, 26.60 deg, I 79
hkl 1 1 1, 29.10 deg, I 56
hkl 1 1 -3, 29.48 deg, I 71
hkl 2 0 -2, 32.27 deg, I 51
hkl 0 9 1, 40.49 deg, I 41

Atomic structure:
Unit cell a=5.5488 b=21.0256 c=9.1988 alpha=90.00 beta=126.30 gamma=90.00
Space group P2_1/c (No. 14)
Inequivalent atoms, fractional coordinates:
Ba1 0.0000 0.0000 0.0000 [2 per cell]
Ba2 0.0340 0.2232 0.0059 [4 per cell]
Na1 0.2094 0.0910 0.7262 [4 per cell]
Cr1 0.3060 0.6034 0.2870 [4 per cell]
Cr2 0.4952 0.6384 0.9681 [4 per cell]
F1 0.1092 0.0982 0.4363 [4 per cell]
F2 0.1109 0.6784 0.8575 [4 per cell]
F3 0.1685 0.6115 0.4355 [4 per cell]
F4 0.2836 0.1074 0.9993 [4 per cell]
F5 0.3012 0.5672 0.8061 [4 per cell]
F6 0.3052 0.2106 0.3722 [4 per cell]
F7 0.3126 0.5118 0.3120 [4 per cell]
F8 0.3247 0.6943 0.2713 [4 per cell]
F9 0.4655 0.1790 0.7057 [4 per cell]
F10 0.4674 0.5921 0.1454 [4 per cell]

Starting from a DFT-relaxed cell (PBE+U, the Materials Project), the XRD peak list of BaV2CuAg2O8 was calculated for Cu Ka.
Lines closer than 0.1° are merged.

Peak list (8 most intense, 2θ from 10° to 80°, sorted by position)
hkl 1 0 -4, 30.04 deg, I 85
hkl 1 -1 4, 30.37 deg, I 79
hkl 1 1 0, 31.12 deg, I 97
hkl 1 -2 0, 31.53 deg, I 100
hkl 0 1 4, 31.98 deg, I 63
hkl 2 -1 0, 32.69 deg, I 95
hkl 0 2 -4, 41.65 deg, I 43
hkl 3 0 0, 57.11 deg, I 42

Atomic structure:
Unit cell a=5.4790 b=5.7059 c=14.5269 alpha=94.99 beta=90.49 gamma=117.82
Space group P-1 (No. 2)
Inequivalent atoms, fractional coordinates:
Ba1 0.0328 0.0438 0.2513 [2 per cell]
V1 0.3409 0.6822 0.8731 [2 per cell]
V2 0.3575 0.7163 0.3749 [2 per cell]
Cu1 0.0000 0.0000 0.0000 [1 per cell]
Cu2 0.0000 0.0000 0.5000 [1 per cell]
Ag1 0.3105 0.6237 0.5881 [2 per cell]
Ag2 0.3299 0.6684 0.0897 [2 per cell]
O1 0.0785 0.7622 0.9132 [2 per cell]
O2 0.1484 0.4168 0.4190 [2 per cell]
O3 0.2604 0.3603 0.8961 [2 per cell]
O4 0.2659 0.9663 0.4152 [2 per cell]
O5 0.2845 0.1809 0.6006 [2 per cell]
O6 0.2989 0.6634 0.2573 [2 per cell]
O7 0.3234 0.0785 0.0807 [2 per cell]
O8 0.3546 0.7051 0.7564 [2 per cell]

Starting from a DFT-relaxed cell (PBE+U, the Materials Project), the XRD peak list of Li2Mn3SbO8 was calculated for Cu Ka.
Lines closer than 0.1° are merged.

Peak list (8 most intense, 2θ from 10° to 80°, sorted by position)
hkl 1 0 1, 17.99 deg, I 100
hkl 0 1 5, 33.83 deg, I 22
hkl 1 1 3, 34.60 deg, I 31
hkl 0 2 4, 41.91 deg, I 49
hkl 2 1 1, 46.55 deg, I 14
hkl 1 2 5, 55.44 deg, I 13
hkl 2 0 8, 59.77 deg, I 15
hkl 2 2 0, 61.76 deg, I 15

Atomic structure:
Unit cell a=6.0085 b=6.0085 c=15.3945 alpha=90.00 beta=90.00 gamma=120.00
Space group R-3m (No. 166, hexagonal axes)
Inequivalent atoms, fractional coordinates:
Li1 0.0000 0.0000 0.1289 [6 per cell]
Mn1 0.0000 0.5000 0.0000 [9 per cell]
Sb1 0.0000 0.0000 0.5000 [3 per cell]
O1 0.0000 0.0000 0.2742 [6 per cell]
O2 0.0278 0.5139 0.2479 [18 per cell]

Starting from a DFT-relaxed cell (PBE+U, the Materials Project), the XRD peak list of MgMn2Ag2O6 was calculated for Cu Ka.
Lines closer than 0.1° are merged.

Peak list (8 most intense, 2θ from 10° to 80°, sorted by position)
hkl 0 0 1, 17.01 deg, I 37
hkl 1 0 1, 20.90 deg, I 38
hkl 1 0 -1, 31.25 deg, I 39
hkl 1 -1 1, 32.18 deg, I 59
hkl 1 2 0, 34.44 deg, I 100
hkl 2 1 1, 34.94 deg, I 49
hkl -1 1 1, 38.42 deg, I 50
hkl 2 1 3, 49.84 deg, I 53

Atomic structure:
Unit cell a=5.1534 b=5.5689 c=5.8190 alpha=75.77 beta=64.13 gamma=67.16
Space group P1 (No. 1)
Inequivalent atoms, fractional coordinates:
Mg1 0.0000 0.0000 0.0000 [1 per cell]
Mn1 0.0899 0.3550 0.4208 [1 per cell]
Mn2 0.6606 0.0691 0.5211 [1 per cell]
Ag1 0.3642 0.7280 0.4747 [1 per cell]
Ag2 0.7095 0.5718 0.9777 [1 per cell]
O1 0.2804 0.3649 0.6383 [1 per cell]
O2 0.4488 0.8490 0.7776 [1 per cell]
O3 0.4959 0.0711 0.2758 [1 per cell]
O4 0.8609 0.1237 0.7039 [1 per cell]
O5 0.9011 0.2800 0.2333 [1 per cell]
O6 0.9934 0.7528 0.3342 [1 per cell]

Starting from a DFT-relaxed cell (PBE+U, the Materials Project), the XRD peak list of Li9Mn2Co5O16 was calculated for Cu Ka.
Lines closer than 0.1° are merged.

Peak list (8 most intense, 2θ from 10° to 80°, sorted by position)
hkl 0 1 1, 18.37 deg, I 100
hkl 1 1 -3, 34.63 deg, I 16
hkl 1 0 4, 36.42 deg, I 12
hkl 2 0 0, 36.74 deg, I 12
hkl 0 2 2, 37.24 deg, I 9
hkl 1 2 -2, 41.61 deg, I 31
hkl 1 1 5, 44.21 deg, I 26
hkl -2 1 1, 44.80 deg, I 25

Atomic structure:
Unit cell a=5.0019 b=5.2246 c=11.3378 alpha=83.45 beta=87.27 gamma=78.08
Space group P1 (No. 1)
Inequivalent atoms, fractional coordinates:
Li1 0.0000 0.0000 0.0000 [1 per cell]
Li2 0.0008 0.7321 0.2640 [1 per cell]
Li3 0.0095 0.2366 0.7532 [1 per cell]
Li4 0.2495 0.9233 0.5722 [1 per cell]
Li5 0.4796 0.3493 0.6385 [1 per cell]
Li6 0.4848 0.6063 0.3968 [1 per cell]
Li7 0.4953 0.8567 0.1334 [1 per cell]
Li8 0.5005 0.1130 0.8762 [1 per cell]
Li9 0.9977 0.4910 0.5130 [1 per cell]
Mn1 0.2487 0.4219 0.0732 [1 per cell]
Mn2 0.7450 0.2908 0.2017 [1 per cell]
Co1 0.2436 0.1560 0.3291 [1 per cell]
Co2 0.2484 0.6792 0.8169 [1 per cell]
Co3 0.7334 0.8127 0.6881 [1 per cell]
Co4 0.7514 0.5576 0.9399 [1 per cell]
Co5 0.7540 0.0455 0.4488 [1 per cell]
O1 0.0933 0.8494 0.4159 [1 per cell]
O2 0.1061 0.0845 0.1814 [1 per cell]
O3 0.1079 0.3343 0.9298 [1 per cell]
O4 0.1117 0.5949 0.6774 [1 per cell]
O5 0.3847 0.2526 0.4610 [1 per cell]
O6 0.3869 0.5063 0.2185 [1 per cell]
O7 0.3868 0.7540 0.9674 [1 per cell]
O8 0.3959 0.0133 0.7244 [1 per cell]
O9 0.6082 0.4792 0.7895 [1 per cell]
O10 0.6174 0.2091 0.0533 [1 per cell]
O11 0.6196 0.9918 0.2934 [1 per cell]
O12 0.6448 0.7457 0.5291 [1 per cell]
O13 0.8497 0.1348 0.5884 [1 per cell]
O14 0.8712 0.3561 0.3526 [1 per cell]
O15 0.8725 0.5961 0.1138 [1 per cell]
O16 0.8935 0.8677 0.8536 [1 per cell]